Computed PXRD pattern of Ga2S3 for Cu Kα (weighted mean of Kα1 and Kα2), from a structure optimized by DFT (GGA-PBE).
Intensities are scaled so that the largest is 1000.

Top 6 peaks for 10° ≤ 2θ ≤ 80°, by angle:
2theta	intensity	hkl
16.31	805	1 1 0
18.14	500	2 0 0
27.11	1000	3 1 -1
29.29	826	0 0 2
31.09	780	3 1 -2
48.11	698	3 3 -1

Cell and atoms:
```
data_Ga2S3
_cell_length_a 11.4217
_cell_length_b 6.5383
_cell_length_c 7.1214
_cell_angle_alpha 90.00
_cell_angle_beta 121.08
_cell_angle_gamma 90.00
_symmetry_space_group_name_H-M 'C 1 c 1'
_symmetry_Int_Tables_number 9
loop_
_symmetry_equiv_pos_as_xyz
'x,y,z'
'x,-y,z+1/2'
'x+1/2,y+1/2,z'
'x+1/2,-y+1/2,z+1/2'
loop_
_atom_site_label
_atom_site_type_symbol
_atom_site_fract_x
_atom_site_fract_y
_atom_site_fract_z
Ga1 Ga 0.0000 0.0652 0.0000
Ga2 Ga 0.3405 0.0980 0.0104
S1 S 0.1372 0.0864 0.3837
S2 S 0.2992 0.4094 0.8647
S3 S 0.4692 0.0880 0.3940
```